Record 1
Co3CuPt4: simulated powder X-ray diffraction pattern (Cu Ka), based on the PBE geometry in Alexandria.
Intensities are scaled so that the largest is 100.

```
Co3CuPt4
1.0
8.7482 0.0000 0.0000
0.0000 5.4437 0.0000
0.0000 0.0000 4.5943
Co Cu Pt
6 2 8
Direct
0.0000 0.0000 0.0000
0.2500 0.0000 0.3422
0.2500 0.5000 0.3435
0.5000 0.0000 0.0000
0.7500 0.0000 0.6578
0.7500 0.5000 0.6565
0.0000 0.5000 0.0000
0.5000 0.5000 0.0000
0.0000 0.2486 0.5000
0.0000 0.7514 0.5000
0.2500 0.2495 0.8589
0.2500 0.7505 0.8589
0.5000 0.2486 0.5000
0.5000 0.7514 0.5000
0.7500 0.2495 0.1411
0.7500 0.7505 0.1411
```

Principal peaks in the range 10 to 90 degrees two-theta, by angle:
Position (°2θ)  I_rel
28.17  43
32.91  21
39.85  31
40.60  22
41.28  46
43.85  100
44.55  29
70.56  17
77.05  19
85.17  21

=====

Record 2
VNi7Ge2P2: simulated powder X-ray diffraction pattern (Cu Ka), based on the PBE geometry in Alexandria.
Intensities are scaled so that the largest is 100.

```
VNi7Ge2P2
1.0
2.4418 -2.4413 0.0000
2.4418 2.4413 0.0000
-2.4230 0.0000 13.9328
V Ni Ge P
1 7 2 2
Direct
0.0000 0.0000 0.0000
0.0663 0.5662 0.1331
0.3057 0.3057 0.6106
0.4338 0.9337 0.8669
0.5000 0.5000 0.0000
0.5662 0.0663 0.1331
0.6943 0.6943 0.3894
0.9337 0.4338 0.8669
0.2152 0.2152 0.4318
0.7848 0.7848 0.5682
0.3836 0.3836 0.7659
0.6164 0.6164 0.2341
```

Principal peaks in the range 10 to 90 degrees two-theta, by angle:
Position (°2θ)  I_rel
12.71  77
25.57  35
37.39  86
39.09  42
41.80  79
45.36  45
45.58  28
49.64  100
53.04  90
78.32  27

=====

Record 3
Tb3CuNi3: simulated powder X-ray diffraction pattern (Cu Ka), based on the PBE geometry in Alexandria.
Intensities are scaled so that the largest is 100.

```
Tb3CuNi3
1.0
2.0429 -4.9185 0.0000
2.0429 4.9185 0.0000
0.0000 0.0000 13.0694
Tb Cu Ni
6 2 6
Direct
0.0136 0.9864 0.7500
0.2955 0.7045 0.6028
0.2955 0.7045 0.8972
0.7045 0.2955 0.1028
0.7045 0.2955 0.3972
0.9864 0.0136 0.2500
0.0000 0.0000 0.0000
0.0000 0.0000 0.5000
0.2797 0.7203 0.2500
0.4180 0.5820 0.0907
0.4180 0.5820 0.4093
0.5820 0.4180 0.5907
0.5820 0.4180 0.9093
0.7203 0.2797 0.7500
```

Principal peaks in the range 10 to 90 degrees two-theta, by angle:
Position (°2θ)  I_rel
27.30  44
31.36  81
32.91  58
35.09  100
36.37  99
40.92  94
41.45  34
42.20  34
44.34  58
56.31  34

=====

Record 4
NpPt12: simulated powder X-ray diffraction pattern (Cu Ka), based on the PBE geometry in Alexandria.
Intensities are scaled so that the largest is 100.

```
NpPt12
1.0
0.0000 5.3559 5.3559
5.3559 0.0000 5.3559
5.3559 5.3559 0.0000
Np Pt
1 12
Direct
0.0000 0.0000 0.0000
0.1599 0.5000 0.5000
0.1599 0.5000 0.8401
0.1599 0.8401 0.5000
0.5000 0.1599 0.5000
0.5000 0.1599 0.8401
0.5000 0.5000 0.1599
0.5000 0.5000 0.8401
0.5000 0.8401 0.1599
0.5000 0.8401 0.5000
0.8401 0.1599 0.5000
0.8401 0.5000 0.1599
0.8401 0.5000 0.5000
```

Principal peaks in the range 10 to 90 degrees two-theta, by angle:
Position (°2θ)  I_rel
14.32  23
23.49  17
27.62  100
28.87  38
41.29  36
43.92  73
50.40  44
51.17  63
67.12  25
75.28  40

=====

What did the third record say?
Tb3CuNi3: simulated powder X-ray diffraction pattern (Cu Ka), based on the PBE geometry in Alexandria.
Intensities are scaled so that the largest is 100.

```
Tb3CuNi3
1.0
2.0429 -4.9185 0.0000
2.0429 4.9185 0.0000
0.0000 0.0000 13.0694
Tb Cu Ni
6 2 6
Direct
0.0136 0.9864 0.7500
0.2955 0.7045 0.6028
0.2955 0.7045 0.8972
0.7045 0.2955 0.1028
0.7045 0.2955 0.3972
0.9864 0.0136 0.2500
0.0000 0.0000 0.0000
0.0000 0.0000 0.5000
0.2797 0.7203 0.2500
0.4180 0.5820 0.0907
0.4180 0.5820 0.4093
0.5820 0.4180 0.5907
0.5820 0.4180 0.9093
0.7203 0.2797 0.7500
```

Principal peaks in the range 10 to 90 degrees two-theta, by angle:
Position (°2θ)  I_rel
27.30  44
31.36  81
32.91  58
35.09  100
36.37  99
40.92  94
41.45  34
42.20  34
44.34  58
56.31  34